Entry 1:
The following is a theoretical X-ray powder pattern of Sm3ReO8. It was derived from a PBE-relaxed structure, using Cu Kα X-rays.
Kinematic intensities with the Lorentz-polarization factor, no thermal factor.

Atomic structure:
Lattice parameters (Å, degrees): 7.4199 6.1503 14.8397 90.00 111.06 90.00
Element x y z (fractional)
Sm 0.0954 0.2386 0.2014
Sm 0.0954 0.2614 0.7014
Sm 0.1609 0.2000 0.4458
Sm 0.1609 0.3000 0.9458
Sm 0.3948 0.6881 0.3330
Sm 0.3948 0.8119 0.8330
Sm 0.6052 0.1881 0.1670
Sm 0.6052 0.3119 0.6670
Sm 0.8391 0.7000 0.0542
Sm 0.8391 0.8000 0.5542
Sm 0.9046 0.7386 0.2986
Sm 0.9046 0.7614 0.7986
Re 0.3209 0.7456 0.0905
Re 0.3209 0.7544 0.5905
Re 0.6791 0.2456 0.4095
Re 0.6791 0.2544 0.9095
O 0.0895 0.6978 0.9821
O 0.0895 0.8022 0.4821
O 0.1472 0.0304 0.8406
O 0.1472 0.4696 0.3406
O 0.1694 0.6501 0.1690
O 0.1694 0.8499 0.6690
O 0.1849 0.5303 0.8270
O 0.1849 0.9697 0.3270
O 0.2512 0.0430 0.0964
O 0.2512 0.4570 0.5964
O 0.3783 0.0501 0.5888
O 0.3783 0.4499 0.0888
O 0.4704 0.2054 0.7890
O 0.4704 0.2946 0.2890
O 0.4734 0.6974 0.5203
O 0.4734 0.8026 0.0203
O 0.5266 0.1974 0.9797
O 0.5266 0.3026 0.4797
O 0.5296 0.7054 0.7110
O 0.5296 0.7946 0.2110
O 0.6217 0.5501 0.9112
O 0.6217 0.9499 0.4112
O 0.7488 0.5430 0.4036
O 0.7488 0.9570 0.9036
O 0.8151 0.0303 0.6730
O 0.8151 0.4697 0.1730
O 0.8306 0.1501 0.3310
O 0.8306 0.3499 0.8310
O 0.8528 0.5304 0.6594
O 0.8528 0.9696 0.1594
O 0.9105 0.1978 0.5179
O 0.9105 0.3022 0.0179

Main lines, low angle first (5 to 70 degrees two-theta):
24.3 deg, I 11
28.3 deg, I 23
29.0 deg, I 30
29.2 deg, I 16
29.6 deg, I 100
41.6 deg, I 11
43.1 deg, I 14
49.5 deg, I 10
51.0 deg, I 8
51.8 deg, I 18
52.8 deg, I 16
55.8 deg, I 11

---

Entry 2:
The following is a theoretical X-ray powder pattern of Sm2ReO5. It was derived from a PBE-relaxed structure, using Cu Kα X-rays.
Kinematic intensities with the Lorentz-polarization factor, no thermal factor.

Atomic structure:
Lattice parameters (Å, degrees): 8.6974 8.6974 5.8276 90.00 90.00 90.00
Element x y z (fractional)
Sm 0.0995 0.6083 0.2498
Sm 0.1083 0.9005 0.7502
Sm 0.3917 0.5995 0.7502
Sm 0.4005 0.8917 0.2498
Sm 0.5995 0.1083 0.7502
Sm 0.6083 0.4005 0.2498
Sm 0.8917 0.0995 0.2498
Sm 0.9005 0.3917 0.7502
Re 0.2500 0.2500 0.1506
Re 0.2500 0.2500 0.5402
Re 0.7500 0.7500 0.4598
Re 0.7500 0.7500 0.8494
O 0.0499 0.1596 0.6009
O 0.0501 0.3425 0.0981
O 0.1575 0.0501 0.0981
O 0.1596 0.4501 0.6009
O 0.2500 0.7500 0.0000
O 0.2500 0.7500 0.5000
O 0.3404 0.0499 0.6009
O 0.3425 0.4499 0.0981
O 0.4499 0.1575 0.0981
O 0.4501 0.3404 0.6009
O 0.5499 0.6596 0.3991
O 0.5501 0.8425 0.9019
O 0.6575 0.5501 0.9019
O 0.6596 0.9501 0.3991
O 0.7500 0.2500 0.0000
O 0.7500 0.2500 0.5000
O 0.8404 0.5499 0.3991
O 0.8425 0.9499 0.9019
O 0.9499 0.6575 0.9019
O 0.9501 0.8404 0.3991

Main lines, low angle first (5 to 70 degrees two-theta):
20.4 deg, I 12
27.6 deg, I 100
29.0 deg, I 17
32.4 deg, I 18
32.6 deg, I 61
34.0 deg, I 13
40.5 deg, I 13
46.7 deg, I 21
52.5 deg, I 17
52.7 deg, I 20
54.7 deg, I 13
59.4 deg, I 18

---

Entry 3:
The following is a theoretical X-ray powder pattern of ReTcSn2O6. It was derived from a PBE-relaxed structure, using Cu Kα X-rays.
Kinematic intensities with the Lorentz-polarization factor, no thermal factor.

Atomic structure:
Lattice parameters (Å, degrees): 5.6613 5.6613 5.6613 60.00 60.00 60.00
Element x y z (fractional)
Re 0.0000 0.0000 0.0000
Tc 0.5000 0.5000 0.5000
Sn 0.2500 0.2500 0.2500
Sn 0.7500 0.7500 0.7500
O 0.2458 0.2458 0.7542
O 0.2458 0.7542 0.2458
O 0.2458 0.7542 0.7542
O 0.7542 0.2458 0.2458
O 0.7542 0.2458 0.7542
O 0.7542 0.7542 0.2458

Main lines, low angle first (5 to 70 degrees two-theta):
19.2 deg, I 6
22.2 deg, I 3
31.6 deg, I 100
37.2 deg, I 4
39.0 deg, I 1
45.3 deg, I 29
49.6 deg, I 2
51.0 deg, I 1
56.3 deg, I 41
60.0 deg, I 1
66.0 deg, I 18
69.5 deg, I 1

---

Entry 4:
The following is a theoretical X-ray powder pattern of SrRe3O9. It was derived from a PBE-relaxed structure, using Cu Kα X-rays.
Kinematic intensities with the Lorentz-polarization factor, no thermal factor.

Atomic structure:
Lattice parameters (Å, degrees): 9.3339 9.3713 9.3035 90.00 90.00 90.00
Element x y z (fractional)
Sr 0.1794 0.1783 0.0000
Sr 0.3206 0.6783 0.5000
Sr 0.6794 0.3217 0.5000
Sr 0.8206 0.8217 0.0000
Re 0.0000 0.5000 0.6866
Re 0.0000 0.5000 0.9626
Re 0.0052 0.3603 0.3257
Re 0.1376 0.9987 0.3258
Re 0.3624 0.4987 0.8258
Re 0.4948 0.8603 0.8257
Re 0.5000 0.0000 0.1866
Re 0.5000 0.0000 0.4626
Re 0.5052 0.1397 0.8257
Re 0.6376 0.5013 0.8258
Re 0.8624 0.0013 0.3258
Re 0.9948 0.6397 0.3257
O 0.0000 0.0000 0.1550
O 0.0000 0.0000 0.4848
O 0.0023 0.6378 0.5288
O 0.0046 0.3368 0.8252
O 0.0056 0.3606 0.1192
O 0.1376 0.2025 0.3173
O 0.1378 0.7938 0.3256
O 0.1616 0.5047 0.3308
O 0.2037 0.4954 0.9612
O 0.2054 0.5038 0.6836
O 0.2946 0.0038 0.1836
O 0.2963 0.9954 0.4612
O 0.3384 0.0047 0.8308
O 0.3622 0.2938 0.8256
O 0.3624 0.7025 0.8173
O 0.4944 0.8606 0.6192
O 0.4954 0.8368 0.3252
O 0.4977 0.1378 0.0288
O 0.5000 0.5000 0.6550
O 0.5000 0.5000 0.9848
O 0.5023 0.8622 0.0288
O 0.5046 0.1632 0.3252
O 0.5056 0.1394 0.6192
O 0.6376 0.2975 0.8173
O 0.6378 0.7062 0.8256
O 0.6616 0.9953 0.8308
O 0.7037 0.0046 0.4612
O 0.7054 0.9962 0.1836
O 0.7946 0.4962 0.6836
O 0.7963 0.5046 0.9612
O 0.8384 0.4953 0.3308
O 0.8622 0.2062 0.3256
O 0.8624 0.7975 0.3173
O 0.9944 0.6394 0.1192
O 0.9954 0.6632 0.8252
O 0.9977 0.3622 0.5288

Main lines, low angle first (5 to 70 degrees two-theta):
13.4 deg, I 100
19.0 deg, I 37
19.1 deg, I 20
27.0 deg, I 9
30.2 deg, I 60
30.4 deg, I 31
35.9 deg, I 36
36.1 deg, I 28
47.8 deg, I 9
49.7 deg, I 18
49.9 deg, I 29
59.4 deg, I 15

---

Entry 5:
The following is a theoretical X-ray powder pattern of Sr2TbReO6. It was derived from a PBE-relaxed structure, using Cu Kα X-rays.
Kinematic intensities with the Lorentz-polarization factor, no thermal factor.

Atomic structure:
Lattice parameters (Å, degrees): 5.9209 5.9209 5.9209 60.00 60.00 60.00
Element x y z (fractional)
Sr 0.2500 0.2500 0.2500
Sr 0.7500 0.7500 0.7500
Tb 0.0000 0.0000 0.0000
Re 0.5000 0.5000 0.5000
O 0.2648 0.2648 0.7352
O 0.2648 0.7352 0.2648
O 0.2648 0.7352 0.7352
O 0.7352 0.2648 0.2648
O 0.7352 0.2648 0.7352
O 0.7352 0.7352 0.2648

Main lines, low angle first (5 to 70 degrees two-theta):
18.4 deg, I 1
21.2 deg, I 20
30.2 deg, I 100
37.2 deg, I 1
43.2 deg, I 30
48.6 deg, I 9
53.6 deg, I 41
62.8 deg, I 19
67.1 deg, I 4